1.
Diffraction record for Fe9Co4Ir11. The powder diffractogram is simulated, not measured: it uses DFT lattice parameters and positions (PBE) and Cu Kα (λ = 1.5418 Å).
Lines closer than 0.1° are merged.

Crystal structure
```
data_Fe9Co4Ir11
_chemical_formula_sum 'Fe18 Co8 Ir22'
_symmetry_space_group_name_H-M 'C m m m'
_symmetry_Int_Tables_number 65
_symmetry_space_group_name_Hall '-C 2 2'
_cell_length_a 10.8077
_cell_length_b 15.9864
_cell_length_c 3.6502
_cell_angle_alpha 90.00
_cell_angle_beta 90.00
_cell_angle_gamma 90.00
loop_
_atom_site_label
_atom_site_type_symbol
_atom_site_fract_x
_atom_site_fract_y
_atom_site_fract_z
Fe1 Fe 0.0000 0.0000 0.0000
Fe2 Fe 0.1219 0.2459 0.0000
Fe3 Fe 0.1218 0.4161 0.0000
Co1 Co 0.1510 0.0935 0.0000
Ir1 Ir 0.0000 0.1523 0.5000
Ir2 Ir 0.0000 0.3272 0.5000
Ir3 Ir 0.0000 0.5000 0.5000
Ir4 Ir 0.2468 0.3322 0.5000
Ir5 Ir 0.2484 0.0000 0.5000
```

Main lines, by angle (2θ = 10–90°):
index, two_theta, I/Imax
0 0 1, 24.39, 46
4 0 0, 33.16, 29
0 6 0, 33.64, 23
4 0 1, 41.58, 100
0 6 1, 41.98, 95
4 6 0, 47.95, 68
0 0 2, 49.97, 33
4 6 1, 54.51, 23
4 6 2, 71.77, 40
8 6 1, 84.70, 25
4 12 1, 85.51, 21
4 0 3, 88.03, 12

=====

2.
Diffraction record for Na4Er2Ir3O12. The powder diffractogram is simulated, not measured: it uses DFT lattice parameters and positions (PBE) and Cu Kα (λ = 1.5418 Å).
Lines closer than 0.1° are merged.

Crystal structure
```
data_Na4Er2Ir3O12
_chemical_formula_sum 'Na4 Er2 Ir3 O12'
_symmetry_space_group_name_H-M 'P -6 2 m'
_symmetry_Int_Tables_number 189
_symmetry_space_group_name_Hall 'P -6 -2'
_cell_length_a 9.4592
_cell_length_b 9.4592
_cell_length_c 3.1874
_cell_angle_alpha 90.00
_cell_angle_beta 90.00
_cell_angle_gamma 120.00
loop_
_atom_site_label
_atom_site_type_symbol
_atom_site_fract_x
_atom_site_fract_y
_atom_site_fract_z
Na1 Na 0.0000 0.0000 0.0000
Na2 Na 0.0000 0.6984 0.5000
Er1 Er 0.3333 0.6667 0.5000
Ir1 Ir 0.0000 0.3322 0.0000
O1 O 0.0000 0.1985 0.5000
O2 O 0.0000 0.4596 0.5000
O3 O 0.2196 0.7562 0.0000
```

Main lines, by angle (2θ = 10–90°):
index, two_theta, I/Imax
1 0 0, 10.80, 28
1 1 0, 18.76, 87
3 0 0, 32.80, 87
1 1 1, 33.92, 100
2 2 0, 38.05, 12
2 1 1, 40.62, 18
2 2 1, 47.90, 50
3 3 0, 58.55, 20
4 1 1, 59.27, 50
3 0 2, 68.12, 22
5 2 1, 78.92, 19
3 3 2, 86.92, 13

=====

3.
Diffraction record for CdSnHg5. The powder diffractogram is simulated, not measured: it uses DFT lattice parameters and positions (PBE) and Cu Kα (λ = 1.5418 Å).
Lines closer than 0.1° are merged.

Crystal structure
```
data_CdSnHg5
_chemical_formula_sum 'Cd4 Sn4 Hg20'
_symmetry_space_group_name_H-M 'C 1 2/c 1'
_symmetry_Int_Tables_number 15
_cell_length_a 16.6621
_cell_length_b 7.5195
_cell_length_c 6.0951
_cell_angle_alpha 90.00
_cell_angle_beta 97.84
_cell_angle_gamma 90.00
loop_
_symmetry_equiv_pos_as_xyz
'x,y,z'
'-x,-y,-z'
'-x,y,-z+1/2'
'x,-y,z+1/2'
'x+1/2,y+1/2,z'
'-x+1/2,-y+1/2,-z'
'-x+1/2,y+1/2,-z+1/2'
'x+1/2,-y+1/2,z+1/2'
loop_
_atom_site_label
_atom_site_type_symbol
_atom_site_fract_x
_atom_site_fract_y
_atom_site_fract_z
Cd1 Cd 0.2500 0.2500 0.0000
Sn1 Sn 0.0000 0.2349 0.2500
Hg1 Hg 0.0000 0.3222 0.7500
Hg2 Hg 0.1334 0.0431 0.6513
Hg3 Hg 0.1624 0.4214 0.3477
```

Main lines, by angle (2θ = 10–90°):
index, two_theta, I/Imax
0 0 2, 29.57, 50
2 2 1, 30.76, 23
1 1 -2, 31.71, 57
4 2 0, 32.21, 100
6 0 0, 32.55, 38
1 1 2, 33.10, 34
4 2 -1, 34.26, 54
2 2 -2, 38.64, 27
6 0 -2, 41.27, 31
5 1 2, 45.01, 39
0 4 1, 50.87, 29
0 2 4, 66.74, 24

=====

4.
Diffraction record for BaDyZn2Ga2. The powder diffractogram is simulated, not measured: it uses DFT lattice parameters and positions (PBE) and Cu Kα (λ = 1.5418 Å).
Lines closer than 0.1° are merged.

Crystal structure
```
data_BaDyZn2Ga2
_chemical_formula_sum 'Ba1 Dy1 Zn2 Ga2'
_symmetry_space_group_name_H-M 'P -3 m 1'
_symmetry_Int_Tables_number 164
_symmetry_space_group_name_Hall '-P 3 2"'
_cell_length_a 4.5442
_cell_length_b 4.5442
_cell_length_c 8.1607
_cell_angle_alpha 90.00
_cell_angle_beta 90.00
_cell_angle_gamma 120.00
loop_
_atom_site_label
_atom_site_type_symbol
_atom_site_fract_x
_atom_site_fract_y
_atom_site_fract_z
Ba1 Ba 0.0000 0.0000 0.0000
Dy1 Dy 0.0000 0.0000 0.5000
Zn1 Zn 0.3333 0.6667 0.6853
Ga1 Ga 0.3333 0.6667 0.3070
```

Main lines, by angle (2θ = 10–90°):
index, two_theta, I/Imax
0 0 1, 10.84, 24
1 0 0, 22.59, 16
0 1 2, 31.59, 100
1 1 0, 39.67, 58
0 1 3, 40.30, 9
0 1 4, 50.38, 14
2 0 2, 51.57, 25
1 1 3, 52.47, 8
1 1 4, 61.04, 9
1 2 2, 66.96, 23
3 0 0, 71.99, 10
1 1 6, 82.69, 9

=====

5.
Diffraction record for CdRe4W. The powder diffractogram is simulated, not measured: it uses DFT lattice parameters and positions (PBE) and Cu Kα (λ = 1.5418 Å).
Lines closer than 0.1° are merged.

Crystal structure
```
data_CdRe4W
_chemical_formula_sum 'Cd4 Re16 W4'
_symmetry_space_group_name_H-M 'F -4 3 m'
_symmetry_Int_Tables_number 216
_symmetry_space_group_name_Hall 'F -4 2 3'
_cell_length_a 7.3615
_cell_length_b 7.3615
_cell_length_c 7.3615
_cell_angle_alpha 90.00
_cell_angle_beta 90.00
_cell_angle_gamma 90.00
loop_
_atom_site_label
_atom_site_type_symbol
_atom_site_fract_x
_atom_site_fract_y
_atom_site_fract_z
Cd1 Cd 0.0000 0.0000 0.0000
Re1 Re 0.1256 0.1256 0.6256
W1 W 0.2500 0.2500 0.2500
```

Main lines, by angle (2θ = 10–90°):
index, two_theta, I/Imax
1 1 1, 20.90, 14
2 2 0, 34.46, 21
3 1 1, 40.65, 100
2 2 2, 42.54, 48
4 0 0, 49.53, 8
3 3 1, 54.32, 4
4 2 2, 61.73, 8
5 1 1, 65.93, 32
4 4 0, 72.66, 29
6 2 0, 82.96, 3
5 3 3, 86.74, 12
6 2 2, 88.00, 19

=====

6.
Diffraction record for Pu4GePd3. The powder diffractogram is simulated, not measured: it uses DFT lattice parameters and positions (PBE) and Cu Kα (λ = 1.5418 Å).
Lines closer than 0.1° are merged.

Crystal structure
```
data_Pu4GePd3
_chemical_formula_sum 'Pu8 Ge2 Pd6'
_symmetry_space_group_name_H-M 'I m -3 m'
_symmetry_Int_Tables_number 229
_symmetry_space_group_name_Hall '-I 4 2 3'
_cell_length_a 7.0681
_cell_length_b 7.0681
_cell_length_c 7.0681
_cell_angle_alpha 90.00
_cell_angle_beta 90.00
_cell_angle_gamma 90.00
loop_
_atom_site_label
_atom_site_type_symbol
_atom_site_fract_x
_atom_site_fract_y
_atom_site_fract_z
Pu1 Pu 0.2500 0.2500 0.2500
Ge1 Ge 0.0000 0.0000 0.0000
Pd1 Pd 0.0000 0.0000 0.5000
```

Main lines, by angle (2θ = 10–90°):
index, two_theta, I/Imax
2 0 0, 25.20, 19
2 2 0, 35.94, 100
2 2 2, 44.40, 6
4 0 0, 51.73, 18
4 2 0, 58.39, 9
4 2 2, 64.60, 37
4 4 0, 76.19, 12
6 0 0, 81.75, 4
6 2 0, 87.23, 17